ZnIn2GeN4: calculated PXRD pattern (CuKα), based on a crystal structure in Alexandria, relaxed with GGA-PBE.
No peak broadening, texture or thermal motion is included.

Principal peaks in the range 2θ = 10–90°, by intensity:
2θ 32.30, d = 2.772 Å, intensity 100
2θ 54.17, d = 1.693 Å, intensity 27
2θ 64.08, d = 1.453 Å, intensity 26
2θ 37.26, d = 2.413 Å, intensity 25
2θ 53.72, d = 1.706 Å, intensity 14
2θ 64.90, d = 1.437 Å, intensity 12
2θ 37.87, d = 2.376 Å, intensity 12
2θ 89.09, d = 1.099 Å, intensity 11
2θ 67.59, d = 1.386 Å, intensity 9
2θ 88.35, d = 1.106 Å, intensity 5

Structure:
```
data_ZnIn2GeN4
_chemical_formula_sum 'Zn1 In2 Ge1 N4'
_cell_length_a 5.850
_cell_length_b 5.850
_cell_length_c 5.850
_cell_angle_alpha 131.28
_cell_angle_beta 131.28
_cell_angle_gamma 71.37
_symmetry_space_group_name_H-M 'P 1'
_symmetry_Int_Tables_number 1
_symmetry_space_group_name_Hall 'P 1'
loop_
_atom_site_label
_atom_site_type_symbol
_atom_site_fract_x
_atom_site_fract_y
_atom_site_fract_z
Zn1 Zn 0.000 0.000 0.000
In1 In 0.250 0.750 0.500
In2 In 0.750 0.250 0.500
Ge1 Ge 0.500 0.500 0.000
N1 N 0.158 0.158 0.537
N2 N 0.379 0.842 0.000
N3 N 0.621 0.621 0.463
N4 N 0.842 0.379 0.000
```